Diffraction record for LiBiP2O7. The powder diffractogram is calculated, not measured: it uses the PBE geometry in the Materials Project and Cu Kα (λ = 1.5418 Å).
Kinematic intensities with the Lorentz-polarization factor, no thermal factor.

Atomic structure:
```
data_LiBiP2O7
_symmetry_space_group_name_H-M 'P 1 21/c 1'
_symmetry_Int_Tables_number 14
_cell_length_a 8.0703
_cell_length_b 10.3641
_cell_length_c 7.5707
_cell_angle_alpha 90.00
_cell_angle_beta 90.67
_cell_angle_gamma 90.00
loop_
_symmetry_equiv_pos_as_xyz
'x,y,z'
'-x,-y,-z'
'-x,y+1/2,-z+1/2'
'x,-y+1/2,z+1/2'
loop_
_atom_site_label
_atom_site_type_symbol
_atom_site_fract_x
_atom_site_fract_y
_atom_site_fract_z
Li1 Li 0.0330 0.1033 0.3080
Bi1 Bi 0.3663 0.6457 0.8879
P1 P 0.2018 0.5939 0.5180
P2 P 0.2981 0.0394 0.6961
O1 O 0.0962 0.6858 0.4066
O2 O 0.1396 0.5406 0.6920
O3 O 0.1633 0.5229 0.0779
O4 O 0.2425 0.0326 0.8991
O5 O 0.3424 0.1790 0.6567
O6 O 0.3711 0.6639 0.5622
O7 O 0.4588 0.5455 0.1724
```

Most intense lines, 10 to 90 degrees two-theta, by angle:
index	Position (°2θ)	Rel. int.
1 0 0	10.96	74
1 1 0	13.91	100
0 1 1	14.49	24
1 1 -1	18.12	27
0 2 1	20.77	48
1 2 1	23.63	64
0 1 2	25.05	36
1 1 2	27.53	25
2 2 -1	30.36	34
1 3 -1	30.49	43
3 1 1	36.64	22
3 2 -1	39.46	18